No. 1
MnAlCl2: theoretical X-ray diffraction stick pattern (copper Kα), based on a GGA-PBE-relaxed structure.
Lines closer than 0.1° are merged.

Most intense lines, 2θ from 10° to 80°, low angle first:
10.27°, I = 100, (0 0 1)
20.63°, I = 11, (0 0 2)
28.95°, I = 83, (1 0 1)
35.22°, I = 43, (0 1 2)
40.88°, I = 36, (1 1 1)
42.54°, I = 34, (0 1 3)
44.93°, I = 32, (1 1 -2)
53.18°, I = 10, (0 0 5)
55.65°, I = 10, (2 0 0)
66.48°, I = 12, (1 2 1)

Atomic structure:
Cell lengths 3.303, 3.161, 8.612 Å; angles 90.00, 90.20, 90.00 degrees
Space group Pm (No. 6)
Asymmetric unit:
Mn 0.000 0.000 0.000 (multiplicity 1)
Al 0.502 0.500 0.182 (multiplicity 1)
Cl 0.504 0.000 0.383 (multiplicity 1)
Cl 0.999 0.500 0.799 (multiplicity 1)

No. 2
Zn3Pd: theoretical X-ray diffraction stick pattern (copper Kα), based on a GGA-PBE-relaxed structure.
Lines closer than 0.1° are merged.

Most intense lines, 2θ from 10° to 80°, low angle first:
22.07°, I = 2, (0 0 2)
26.00°, I = 4, (1 0 1)
33.46°, I = 1, (1 1 0)
40.45°, I = 100, (1 1 2)
41.21°, I = 1, (1 0 3)
45.02°, I = 18, (0 0 4)
48.04°, I = 30, (2 0 0)
67.95°, I = 20, (2 0 4)
70.30°, I = 9, (2 2 0)
79.94°, I = 12, (1 1 6)

Atomic structure:
Cell lengths 3.787, 3.787, 8.055 Å; angles 90.00, 90.00, 90.00 degrees
Space group I4/mmm (No. 139)
Asymmetric unit:
Zn 0.000 0.000 0.000 (multiplicity 2)
Zn 0.000 0.500 0.250 (multiplicity 4)
Pd 0.000 0.000 0.500 (multiplicity 2)

No. 3
Zn4Cu3Ni2: theoretical X-ray diffraction stick pattern (copper Kα), based on a GGA-PBE-relaxed structure.
Lines closer than 0.1° are merged.

Most intense lines, 2θ from 10° to 80°, low angle first:
42.50°, I = 100, (1 1 -3)
42.67°, I = 99, (3 1 0)
47.72°, I = 35, (2 0 3)
48.32°, I = 34, (0 2 0)
52.61°, I = 26, (4 0 -3)
70.26°, I = 20, (2 2 3)
73.50°, I = 9, (2 0 -6)
73.99°, I = 9, (6 0 0)
74.20°, I = 17, (4 2 -3)

Atomic structure:
Cell lengths 7.915, 3.767, 7.764 Å; angles 90.00, 103.78, 90.00 degrees
Space group C2/m (No. 12)
Asymmetric unit:
Zn 0.006 0.000 0.333 (multiplicity 4)
Zn 0.166 0.500 0.887 (multiplicity 4)
Cu 0.000 0.000 0.000 (multiplicity 2)
Cu 0.168 0.500 0.558 (multiplicity 4)
Ni 0.166 0.500 0.219 (multiplicity 4)

No. 4
Ac8NiP3Cl4: theoretical X-ray diffraction stick pattern (copper Kα), based on a GGA-PBE-relaxed structure.
Lines closer than 0.1° are merged.

Most intense lines, 2θ from 10° to 80°, low angle first:
24.67°, I = 72, (2 0 2)
24.85°, I = 21, (0 0 6)
28.61°, I = 100, (0 2 4)
40.79°, I = 40, (2 2 0)
41.03°, I = 33, (2 0 8)
48.25°, I = 13, (0 4 2)
48.36°, I = 23, (2 2 6)
50.58°, I = 21, (4 0 4)
66.92°, I = 18, (2 4 4)
67.25°, I = 12, (2 2 12)

Atomic structure:
Cell lengths 8.8484, 8.8484, 21.4975 Å; angles 90.00, 90.00, 120.00 degrees
Space group R-3m (No. 166, hexagonal axes)
Asymmetric unit:
Ac 0.0000 0.0000 0.2422 (multiplicity 6)
Ac 0.0085 0.5043 0.2410 (multiplicity 18)
Ni 0.0000 0.0000 0.5000 (multiplicity 3)
P 0.0000 0.5000 0.5000 (multiplicity 9)
Cl 0.0000 0.0000 0.0000 (multiplicity 3)
Cl 0.0000 0.5000 0.0000 (multiplicity 9)

No. 5
KCe2Br6: theoretical X-ray diffraction stick pattern (copper Kα), based on a GGA-PBE-relaxed structure.
Lines closer than 0.1° are merged.

Most intense lines, 2θ from 10° to 80°, low angle first:
12.06°, I = 38, (2 0 0)
13.39°, I = 22, (1 1 -1)
18.06°, I = 40, (2 2 0)
26.32°, I = 100, (3 3 -1)
33.89°, I = 75, (2 0 2)
38.04°, I = 15, (1 1 -3)
40.96°, I = 41, (0 6 0)
43.96°, I = 29, (5 3 1)
49.34°, I = 16, (6 0 -4)
66.29°, I = 18, (8 6 0)

Atomic structure:
Cell lengths 16.542, 13.209, 7.641 Å; angles 90.00, 117.45, 90.00 degrees
Space group C2/c (No. 15)
Asymmetric unit:
K 0.000 0.247 0.250 (multiplicity 4)
Ce 0.249 0.417 0.996 (multiplicity 8)
Br 0.133 0.069 0.568 (multiplicity 8)
Br 0.133 0.250 0.023 (multiplicity 8)
Br 0.133 0.429 0.559 (multiplicity 8)

No. 6
Dy3SbH2: theoretical X-ray diffraction stick pattern (copper Kα), based on a GGA-PBE-relaxed structure.
Lines closer than 0.1° are merged.

Most intense lines, 2θ from 10° to 80°, low angle first:
25.76°, I = 42, (3 1 0)
27.95°, I = 45, (1 1 1)
30.68°, I = 25, (4 0 -2)
30.91°, I = 45, (5 1 0)
32.01°, I = 100, (5 1 -1)
32.68°, I = 55, (6 0 1)
39.01°, I = 43, (1 1 2)
45.69°, I = 33, (0 2 0)
52.94°, I = 39, (1 1 3)
55.14°, I = 28, (10 0 -3)

Atomic structure:
Cell lengths 21.815, 3.971, 6.121 Å; angles 90.00, 104.50, 90.00 degrees
Space group C2/m (No. 12)
Asymmetric unit:
Dy 0.042 0.000 0.280 (multiplicity 4)
Dy 0.100 0.500 0.851 (multiplicity 4)
Dy 0.230 0.000 0.212 (multiplicity 4)
Sb 0.151 0.500 0.406 (multiplicity 4)
H 0.058 0.000 0.927 (multiplicity 4)
H 0.208 0.500 0.018 (multiplicity 4)

No. 7
TbNdO3: theoretical X-ray diffraction stick pattern (copper Kα), based on a GGA-PBE-relaxed structure.
Lines closer than 0.1° are merged.

Most intense lines, 2θ from 10° to 80°, low angle first:
16.71°, I = 100, (1 0 0)
28.42°, I = 20, (0 0 1)
29.16°, I = 73, (1 1 0)
33.15°, I = 23, (1 0 1)
41.17°, I = 72, (1 1 1)
44.72°, I = 22, (2 0 1)
45.22°, I = 15, (2 1 0)
51.69°, I = 15, (3 0 0)
60.04°, I = 23, (3 0 1)
66.96°, I = 14, (1 1 2)

Atomic structure:
Cell lengths 6.1258, 6.1258, 3.1408 Å; angles 90.00, 90.00, 120.00 degrees
Space group P-6m2 (No. 187)
Asymmetric unit:
Tb 0.0000 0.0000 0.0000 (multiplicity 1)
Nd 0.6667 0.3333 0.0000 (multiplicity 1)
O 0.3246 0.1623 0.5000 (multiplicity 3)

No. 8
Tc2Ru4Rh: theoretical X-ray diffraction stick pattern (copper Kα), based on a GGA-PBE-relaxed structure.
Lines closer than 0.1° are merged.

Most intense lines, 2θ from 10° to 80°, low angle first:
38.00°, I = 37, (1 0 1)
38.16°, I = 11, (0 1 2)
41.50°, I = 55, (0 0 21)
42.98°, I = 100, (1 0 10)
43.97°, I = 98, (0 1 11)
55.89°, I = 10, (0 1 20)
59.14°, I = 11, (1 0 22)
68.55°, I = 36, (1 1 0)
76.03°, I = 17, (1 0 31)
78.14°, I = 18, (0 1 32)

Atomic structure:
Cell lengths 2.7378, 2.7378, 45.6926 Å; angles 90.00, 90.00, 120.00 degrees
Space group R3m (No. 160, hexagonal axes)
Asymmetric unit:
Tc 0.0000 0.0000 0.0000 (multiplicity 3)
Tc 0.0000 0.0000 0.0962 (multiplicity 3)
Ru 0.0000 0.0000 0.2858 (multiplicity 3)
Ru 0.0000 0.0000 0.3802 (multiplicity 3)
Ru 0.0000 0.0000 0.8097 (multiplicity 3)
Ru 0.0000 0.0000 0.9057 (multiplicity 3)
Rh 0.0000 0.0000 0.1909 (multiplicity 3)

No. 9
PuGaNiSn: theoretical X-ray diffraction stick pattern (copper Kα), based on a GGA-PBE-relaxed structure.
Lines closer than 0.1° are merged.

Most intense lines, 2θ from 10° to 80°, low angle first:
22.81°, I = 12, (1 1 1)
26.40°, I = 23, (2 0 0)
37.68°, I = 100, (2 2 0)
44.50°, I = 7, (3 1 1)
46.59°, I = 7, (2 2 2)
54.34°, I = 17, (4 0 0)
59.68°, I = 3, (3 3 1)
61.40°, I = 10, (4 2 0)
68.01°, I = 36, (4 2 2)
72.77°, I = 2, (5 1 1)

Atomic structure:
Cell lengths 6.753, 6.753, 6.753 Å; angles 90.00, 90.00, 90.00 degrees
Space group F-43m (No. 216)
Asymmetric unit:
Pu 0.000 0.000 0.000 (multiplicity 4)
Ga 0.250 0.250 0.750 (multiplicity 4)
Ni 0.250 0.250 0.250 (multiplicity 4)
Sn 0.000 0.000 0.500 (multiplicity 4)

No. 10
Ti2ZnP3O12: theoretical X-ray diffraction stick pattern (copper Kα), based on a GGA-PBE-relaxed structure.
Lines closer than 0.1° are merged.

Most intense lines, 2θ from 10° to 80°, low angle first:
20.50°, I = 77, (1 1 0)
24.22°, I = 100, (1 1 3)
25.23°, I = 23, (2 0 2)
31.85°, I = 15, (2 1 1)
33.07°, I = 72, (1 1 6)
35.91°, I = 35, (3 0 0)
47.41°, I = 31, (1 2 8)
49.61°, I = 27, (2 2 6)
56.18°, I = 22, (4 1 0)
62.74°, I = 20, (4 1 6)

Atomic structure:
Cell lengths 8.6640, 8.6640, 20.8255 Å; angles 90.00, 90.00, 120.00 degrees
Space group R-3c (No. 167, hexagonal axes)
Asymmetric unit:
Ti 0.0000 0.0000 0.1445 (multiplicity 12)
Zn 0.0000 0.0000 0.0000 (multiplicity 6)
P 0.0000 0.2950 0.2500 (multiplicity 18)
O 0.0068 0.1969 0.3105 (multiplicity 36)
O 0.0180 0.1834 0.9238 (multiplicity 36)

No. 11
Sr5Sn4: theoretical X-ray diffraction stick pattern (copper Kα), based on a GGA-PBE-relaxed structure.
Lines closer than 0.1° are merged.

Most intense lines, 2θ from 10° to 80°, low angle first:
27.44°, I = 100, (1 1 2)
28.13°, I = 76, (3 1 -1)
29.39°, I = 99, (1 1 -3)
32.78°, I = 95, (3 1 -3)
33.22°, I = 87, (3 1 1)
34.76°, I = 83, (0 2 0)
36.18°, I = 34, (4 0 1)
38.04°, I = 26, (3 1 -4)
43.15°, I = 29, (0 0 5)
56.45°, I = 32, (7 1 -2)

Atomic structure:
Cell lengths 12.063, 5.162, 11.298 Å; angles 90.00, 111.89, 90.00 degrees
Space group C2/m (No. 12)
Asymmetric unit:
Sr 0.000 0.000 0.000 (multiplicity 2)
Sr 0.096 0.000 0.392 (multiplicity 4)
Sr 0.244 0.000 0.826 (multiplicity 4)
Sn 0.050 0.500 0.837 (multiplicity 4)
Sn 0.119 0.500 0.610 (multiplicity 4)

No. 12
LiIrRh: theoretical X-ray diffraction stick pattern (copper Kα), based on a GGA-PBE-relaxed structure.
Lines closer than 0.1° are merged.

Most intense lines, 2θ from 10° to 80°, low angle first:
23.02°, I = 64, (0 0 2)
25.82°, I = 91, (0 1 1)
35.11°, I = 42, (1 0 1)
40.70°, I = 100, (1 1 0)
42.19°, I = 90, (0 1 3)
47.11°, I = 42, (0 2 0)
47.28°, I = 39, (1 1 2)
48.79°, I = 59, (1 0 3)
60.10°, I = 18, (1 2 1)
70.16°, I = 46, (1 2 3)

Atomic structure:
Cell lengths 2.709, 3.857, 7.727 Å; angles 90.00, 90.00, 90.00 degrees
Space group Imm2 (No. 44)
Asymmetric unit:
Li 0.000 0.000 0.000 (multiplicity 2)
Ir 0.000 0.000 0.332 (multiplicity 2)
Rh 0.000 0.000 0.668 (multiplicity 2)